Theoretical powder XRD pattern
Compound: Ba3TiZnWO9
Radiation: CuKα
Structure: DFT lattice parameters and positions (GGA+U)
Neutral-atom scattering factors, no anomalous dispersion.

The 10 most intense peaks (5 to 70 degrees two-theta), sorted by position:
2θ = 18.45°, intensity 7.0; 2θ = 25.46°, intensity 17.9; 2θ = 30.35°, intensity 100.0; 2θ = 35.75°, intensity 9.5; 2θ = 40.02°, intensity 11.6; 2θ = 43.46°, intensity 22.5; 2θ = 47.58°, intensity 13.7; 2θ = 53.93°, intensity 28.8; 2θ = 57.49°, intensity 11.1; 2θ = 63.15°, intensity 13.7

Cell and atoms:
a b c (Å): 5.8893 5.8893 14.4289
angles (deg): 90.00 90.00 120.00
Space group P6_3mc (No. 186)
Symmetry-distinct sites (fractional):
Ba  0.0000  0.0000  0.0000
Ba  0.3333  0.6667  0.1486
Ba  0.3333  0.6667  0.8376
Ti  0.3333  0.6667  0.6029
Zn  0.0000  0.0000  0.2421
W  0.3333  0.6667  0.4028
O  0.0343  0.5171  0.4922
O  0.1720  0.3440  0.6610
O  0.1738  0.3475  0.3320